For V2HIr, a cell relaxed with GGA-PBE gives the computed powder XRD pattern in this record (copper Kα).
Peak positions follow from Bragg's law for the DFT cell and can differ from measured ones.

Top 8 peaks for 2θ from 10° to 80°, low angle first:
2θ = 14.7°, rel. 100.0
2θ = 36.2°, rel. 98.6
2θ = 44.9°, rel. 78.1
2θ = 45.2°, rel. 20.0
2θ = 47.2°, rel. 39.5
2θ = 49.7°, rel. 20.1
2θ = 67.4°, rel. 23.7
2θ = 69.0°, rel. 12.3

Atomic structure:
Unit cell a=2.7230 b=2.7230 c=6.0146 alpha=90.00 beta=90.00 gamma=90.00
Space group P4/mmm (No. 123)
One atom of each set of equivalent atoms:
V: 0.0000 0.0000 0.1953 x2
H: 0.5000 0.5000 0.0000 x1
Ir: 0.5000 0.5000 0.5000 x1

For ZnH5Ir, a cell relaxed with GGA-PBE gives the computed powder XRD pattern in this record (copper Kα).
Peak positions follow from Bragg's law for the DFT cell and can differ from measured ones.

Top 8 peaks for 2θ from 10° to 80°, low angle first:
2θ = 20.9°, rel. 100.0
2θ = 25.1°, rel. 22.8
2θ = 31.8°, rel. 64.2
2θ = 33.7°, rel. 40.0
2θ = 41.9°, rel. 41.2
2θ = 42.3°, rel. 35.1
2θ = 42.7°, rel. 34.0
2θ = 46.5°, rel. 21.6

Atomic structure:
Unit cell a=6.0922 b=7.0845 c=6.1439 alpha=90.00 beta=119.18 gamma=90.00
Space group C2/c (No. 15)
One atom of each set of equivalent atoms:
Zn: 0.0000 0.1894 0.2500 x4
H: 0.0000 0.3834 0.7500 x4
H: 0.0392 0.2650 0.9989 x8
H: 0.1852 0.0174 0.8492 x8
Ir: 0.0000 0.5000 0.0000 x4

For Zr4HIr, a cell relaxed with GGA-PBE gives the computed powder XRD pattern in this record (copper Kα).
Peak positions follow from Bragg's law for the DFT cell and can differ from measured ones.

Top 8 peaks for 2θ from 10° to 80°, low angle first:
2θ = 15.7°, rel. 42.4
2θ = 20.1°, rel. 48.2
2θ = 32.4°, rel. 60.1
2θ = 33.1°, rel. 41.4
2θ = 35.0°, rel. 54.8
2θ = 35.1°, rel. 100.0
2θ = 35.4°, rel. 99.9
2θ = 45.4°, rel. 55.9

Atomic structure:
Unit cell a=5.7567 b=6.1433 c=6.4497 alpha=90.00 beta=101.08 gamma=90.00
Space group P2_1/c (No. 14)
One atom of each set of equivalent atoms:
Zr: 0.1337 0.1550 0.1776 x4
Zr: 0.3169 0.6358 0.1094 x4
H: 0.0000 0.0000 0.5000 x2
Ir: 0.5000 0.0000 0.0000 x2

For K4H, a cell relaxed with GGA-PBE gives the computed powder XRD pattern in this record (copper Kα).
Peak positions follow from Bragg's law for the DFT cell and can differ from measured ones.

Top 8 peaks for 2θ from 10° to 80°, low angle first:
2θ = 23.5°, rel. 100.0
2θ = 26.2°, rel. 16.8
2θ = 26.6°, rel. 17.7
2θ = 28.7°, rel. 14.9
2θ = 37.7°, rel. 11.2
2θ = 39.5°, rel. 11.1
2θ = 45.2°, rel. 12.8
2θ = 47.8°, rel. 11.3

Atomic structure:
Unit cell a=14.1344 b=6.8041 c=13.3881 alpha=90.00 beta=118.25 gamma=90.00
Space group C2/c (No. 15)
One atom of each set of equivalent atoms:
K: 0.1181 0.0094 0.4230 x8
K: 0.1176 0.4518 0.1927 x8
H: 0.0000 0.2321 0.2500 x4

For K2H7, a cell relaxed with GGA-PBE gives the computed powder XRD pattern in this record (copper Kα).
Peak positions follow from Bragg's law for the DFT cell and can differ from measured ones.

Top 8 peaks for 2θ from 10° to 80°, low angle first:
2θ = 23.6°, rel. 100.0
2θ = 33.6°, rel. 94.5
2θ = 41.4°, rel. 33.2
2θ = 48.2°, rel. 15.9
2θ = 54.3°, rel. 37.6
2θ = 60.0°, rel. 26.3
2θ = 70.6°, rel. 8.1
2θ = 75.6°, rel. 16.3

Atomic structure:
Unit cell a=7.5493 b=7.5493 c=7.5493 alpha=90.00 beta=90.00 gamma=90.00
Space group Fm-3m (No. 225)
One atom of each set of equivalent atoms:
K: 0.2500 0.2500 0.2500 x8
H: 0.0000 0.0000 0.0000 x4
H: 0.0000 0.0000 0.1629 x24

For KLa2H, a cell relaxed with GGA-PBE gives the computed powder XRD pattern in this record (copper Kα).
Peak positions follow from Bragg's law for the DFT cell and can differ from measured ones.

Top 8 peaks for 2θ from 10° to 80°, low angle first:
2θ = 24.9°, rel. 54.2
2θ = 27.4°, rel. 100.0
2θ = 29.5°, rel. 77.1
2θ = 30.7°, rel. 40.0
2θ = 33.6°, rel. 41.7
2θ = 35.4°, rel. 87.5
2θ = 48.2°, rel. 36.7
2θ = 55.0°, rel. 35.4

Atomic structure:
Unit cell a=3.7742 b=3.7742 c=32.1980 alpha=90.00 beta=90.00 gamma=120.00
Space group R-3m (No. 166, hexagonal axes)
One atom of each set of equivalent atoms:
K: 0.0000 0.0000 0.0000 x3
La: 0.0000 0.0000 0.1215 x6
H: 0.0000 0.0000 0.5000 x3

For KLaH2S2O9, a cell relaxed with GGA-PBE gives the computed powder XRD pattern in this record (copper Kα).
Peak positions follow from Bragg's law for the DFT cell and can differ from measured ones.

Top 8 peaks for 2θ from 10° to 80°, low angle first:
2θ = 14.0°, rel. 66.1
2θ = 15.5°, rel. 92.7
2θ = 24.4°, rel. 67.2
2θ = 28.3°, rel. 90.3
2θ = 30.2°, rel. 100.0
2θ = 40.1°, rel. 38.9
2θ = 46.8°, rel. 62.8
2θ = 51.3°, rel. 30.2

Atomic structure:
Unit cell a=7.2884 b=7.2884 c=13.3811 alpha=90.00 beta=90.00 gamma=120.00
Space group P3_221 (No. 154)
One atom of each set of equivalent atoms:
K: 0.0000 0.4511 0.3333 x3
La: 0.0000 0.4362 0.8333 x3
H: 0.0398 0.9524 0.4581 x6
S: 0.0055 0.4456 0.5937 x6
O: 0.0000 0.0835 0.8333 x3
O: 0.1128 0.6258 0.6657 x6
O: 0.1175 0.3702 0.0091 x6
O: 0.1356 0.6149 0.1410 x6
O: 0.1622 0.4203 0.5326 x6

For KLi3H3, a cell relaxed with GGA-PBE gives the computed powder XRD pattern in this record (copper Kα).
Peak positions follow from Bragg's law for the DFT cell and can differ from measured ones.

Top 8 peaks for 2θ from 10° to 80°, low angle first:
2θ = 22.0°, rel. 100.0
2θ = 31.3°, rel. 38.2
2θ = 38.5°, rel. 80.8
2θ = 44.8°, rel. 13.0
2θ = 50.4°, rel. 17.6
2θ = 60.5°, rel. 36.3
2θ = 69.7°, rel. 9.0
2θ = 74.1°, rel. 9.2

Atomic structure:
Unit cell a=5.7239 b=5.7239 c=5.7239 alpha=90.00 beta=90.00 gamma=90.00
Space group Pm-3n (No. 223)
One atom of each set of equivalent atoms:
K: 0.0000 0.0000 0.0000 x2
Li: 0.0000 0.2500 0.5000 x6
H: 0.0000 0.5000 0.2500 x6

For K2LiMnH6, a cell relaxed with GGA-PBE gives the computed powder XRD pattern in this record (copper Kα).
Peak positions follow from Bragg's law for the DFT cell and can differ from measured ones.

Top 8 peaks for 2θ from 10° to 80°, low angle first:
2θ = 18.3°, rel. 21.8
2θ = 25.9°, rel. 100.0
2θ = 31.7°, rel. 80.8
2θ = 36.9°, rel. 19.3
2θ = 41.4°, rel. 28.8
2θ = 41.5°, rel. 36.4
2θ = 53.1°, rel. 21.9
2θ = 63.3°, rel. 19.7

Atomic structure:
Unit cell a=5.6398 b=5.6398 c=4.8552 alpha=90.00 beta=90.00 gamma=120.00
Space group P-3m1 (No. 164)
One atom of each set of equivalent atoms:
K: 0.3333 0.6667 0.2335 x2
Li: 0.0000 0.0000 0.5000 x1
Mn: 0.0000 0.0000 0.0000 x1
H: 0.1370 0.2740 0.7928 x6